1.
# SnH6Au2C6N4
Calculated PXRD pattern, Cu Kα, 1.54184 Å. Input: a GGA-PBE-relaxed structure.
Peak positions follow from Bragg's law for the DFT cell and can differ from measured ones.

Structure:
Lattice parameters (Å, degrees): 18.308 10.957 6.521 90.00 110.44 90.00
Space group C2/c (No. 15)
Symmetry-distinct sites (fractional):
Sn  0.250  0.250  0.000 [4 per cell]
H  0.148  0.073  0.984 [8 per cell]
H  0.181  0.142  0.251 [8 per cell]
H  0.243  0.034  0.180 [8 per cell]
Au  0.000  0.226  0.250 [4 per cell]
Au  0.000  0.500  0.000 [4 per cell]
C  0.098  0.222  0.505 [8 per cell]
C  0.103  0.427  0.046 [8 per cell]
C  0.199  0.106  0.119 [8 per cell]
N  0.157  0.222  0.654 [8 per cell]
N  0.164  0.384  0.072 [8 per cell]

Principal peaks in the range 10 to 90 degrees two-theta, in order of falling intensity:
d_spacing  2theta  intensity
4.678  18.97  100
4.705  18.86  88
8.578  10.31  81
4.289  20.71  68
3.076  29.03  58
2.802  31.94  57
2.985  29.93  52
2.339  38.49  43
3.572  24.92  41
2.353  38.26  39

---

2.
# DyTmCu2B2C2
Calculated PXRD pattern, Cu Kα, 1.54184 Å. Input: a GGA-PBE-relaxed structure.
Peak positions follow from Bragg's law for the DFT cell and can differ from measured ones.

Structure:
Lattice parameters (Å, degrees): 3.562 3.562 7.847 90.00 90.00 90.00
Space group P4mm (No. 99)
Symmetry-distinct sites (fractional):
Dy  0.000  0.000  0.000 [1 per cell]
Tm  0.500  0.500  0.679 [1 per cell]
Cu  0.000  0.500  0.339 [2 per cell]
B  0.000  0.000  0.509 [1 per cell]
B  0.500  0.500  0.166 [1 per cell]
C  0.000  0.000  0.695 [1 per cell]
C  0.500  0.500  0.980 [1 per cell]

Principal peaks in the range 10 to 90 degrees two-theta, in order of falling intensity:
d_spacing  2theta  intensity
3.243  27.50  100
2.637  34.00  81
2.398  37.51  76
2.616  34.28  52
2.119  42.66  45
1.781  51.30  37
1.472  63.16  34
1.476  62.98  28
1.561  59.19  26
1.548  59.75  25

---

3.
# SbMo
Calculated PXRD pattern, Cu Kα, 1.54184 Å. Input: a GGA-PBE-relaxed structure.
Peak positions follow from Bragg's law for the DFT cell and can differ from measured ones.

Structure:
Lattice parameters (Å, degrees): 5.279 4.485 7.273 90.00 90.00 90.00
Space group Pmma (No. 51)
Symmetry-distinct sites (fractional):
Sb  0.250  0.000  0.122 [2 per cell]
Sb  0.250  0.500  0.737 [2 per cell]
Mo  0.000  0.000  0.500 [2 per cell]
Mo  0.250  0.500  0.353 [2 per cell]

Principal peaks in the range 10 to 90 degrees two-theta, in order of falling intensity:
d_spacing  2theta  intensity
2.134  42.36  100
2.825  31.68  95
2.171  41.60  93
2.491  36.06  82
2.243  40.21  76
3.093  28.86  62
7.273  12.17  50
2.203  40.97  44
2.639  33.97  37
2.275  39.62  32

---

4.
# RbGdAlTe3
Calculated PXRD pattern, Cu Kα, 1.54184 Å. Input: a GGA-PBE-relaxed structure.
Peak positions follow from Bragg's law for the DFT cell and can differ from measured ones.

Structure:
Lattice parameters (Å, degrees): 4.844 15.857 11.735 90.00 90.00 90.00
Space group Cmcm (No. 63)
Symmetry-distinct sites (fractional):
Rb  0.000  0.249  0.250 [4 per cell]
Gd  0.000  0.500  0.000 [4 per cell]
Al  0.000  0.019  0.750 [4 per cell]
Te  0.000  0.122  0.565 [8 per cell]
Te  0.000  0.437  0.750 [4 per cell]

Principal peaks in the range 10 to 90 degrees two-theta, in order of falling intensity:
d_spacing  2theta  intensity
2.420  37.16  100
3.417  26.08  90
3.571  24.93  72
7.928  11.16  71
3.508  25.39  59
3.051  29.28  49
1.961  46.29  32
2.989  29.90  30
2.479  36.24  30
1.817  50.20  26

---

5.
# CdSn2O4
Calculated PXRD pattern, Cu Kα, 1.54184 Å. Input: a GGA-PBE-relaxed structure.
Peak positions follow from Bragg's law for the DFT cell and can differ from measured ones.

Structure:
Lattice parameters (Å, degrees): 9.494 9.494 9.494 90.00 90.00 90.00
Space group Fd-3m (No. 227, origin choice 2)
Symmetry-distinct sites (fractional):
Cd  0.125  0.125  0.125 [8 per cell]
Sn  0.000  0.000  0.500 [16 per cell]
O  0.014  0.014  0.736 [32 per cell]

Principal peaks in the range 10 to 90 degrees two-theta, in order of falling intensity:
d_spacing  2theta  intensity
2.862  31.25  100
1.678  54.69  43
1.827  49.92  40
3.356  26.56  26
2.741  32.68  24
1.236  77.18  22
1.096  89.38  14
2.373  37.91  14
1.431  65.18  13
1.448  64.35  13